Starting from a PBE+U-relaxed structure, the PXRD pattern of Li4MnCo2O7 was calculated for Cu Kα, 1.54184 Å.
Lines closer than 0.1° are merged.

Structure:
Unit cell a=2.9225 b=5.1494 c=16.8730 alpha=92.31 beta=94.68 gamma=90.42
Sites, in units of the cell vectors:
1 Li 0.0000 0.0000 0.0000
2 Li 0.0795 0.3514 0.1372
3 Li 0.2129 0.0732 0.4319
4 Li 0.3587 0.7824 0.7145
5 Li 0.5000 0.5000 0.0000
6 Li 0.6413 0.2176 0.2855
7 Li 0.7871 0.9268 0.5681
8 Li 0.9205 0.6486 0.8628
9 Mn 0.1348 0.7159 0.2863
10 Mn 0.8652 0.2841 0.7137
11 Co 0.3088 0.4344 0.5664
12 Co 0.4290 0.1264 0.8658
13 Co 0.5710 0.8736 0.1342
14 Co 0.6912 0.5656 0.4336
15 O 0.0482 0.6852 0.0796
16 O 0.1036 0.0021 0.2157
17 O 0.1581 0.4244 0.3561
18 O 0.2404 0.7451 0.4997
19 O 0.3325 0.1253 0.6503
20 O 0.3963 0.4369 0.7763
21 O 0.4535 0.8395 0.9215
22 O 0.5465 0.1605 0.0785
23 O 0.6037 0.5631 0.2237
24 O 0.6675 0.8747 0.3497
25 O 0.7596 0.2549 0.5003
26 O 0.8419 0.5756 0.6439
27 O 0.8964 0.9979 0.7843
28 O 0.9518 0.3148 0.9204

The 6 most intense peaks (2θ = 10–80°), sorted by position:
| 2θ/deg | Rel. int. |
| --- | --- |
| 18.24 | 1000 |
| 35.89 | 267 |
| 36.06 | 130 |
| 43.46 | 825 |
| 57.16 | 89 |
| 63.68 | 139 |

***

Starting from a PBE+U-relaxed structure, the PXRD pattern of Li4MnCo2O7 was calculated for Cu Kα, 1.54184 Å.
Lines closer than 0.1° are merged.

Structure:
Unit cell a=14.8912 b=14.8912 c=5.8882 alpha=95.86 beta=95.86 gamma=11.21
Sites, in units of the cell vectors:
1 Li 0.0000 0.0000 0.0000
2 Li 0.9999 0.9999 0.4792
3 Li 0.1450 0.1450 0.0631
4 Li 0.2889 0.2889 0.6360
5 Li 0.4353 0.4353 0.2046
6 Li 0.5686 0.5686 0.7821
7 Li 0.7203 0.7203 0.3519
8 Li 0.8622 0.8622 0.9237
9 Mn 0.1450 0.1450 0.5657
10 Mn 0.5683 0.5683 0.2719
11 Co 0.2900 0.2900 0.1396
12 Co 0.4353 0.4353 0.7158
13 Co 0.7198 0.7198 0.8504
14 Co 0.8624 0.8624 0.4202
15 O 0.0708 0.0708 0.5010
16 O 0.0735 0.0735 0.0537
17 O 0.2184 0.2184 0.0863
18 O 0.2185 0.2185 0.6181
19 O 0.3597 0.3597 0.1893
20 O 0.3682 0.3682 0.6609
21 O 0.4938 0.4938 0.7360
22 O 0.5069 0.5069 0.2400
23 O 0.6403 0.6403 0.3344
24 O 0.6457 0.6457 0.7943
25 O 0.7886 0.7886 0.8986
26 O 0.7923 0.7923 0.3810
27 O 0.9305 0.9305 0.4707
28 O 0.9309 0.9309 0.9357

The 6 most intense peaks (2θ = 10–80°), sorted by position:
| 2θ/deg | Rel. int. |
| --- | --- |
| 18.35 | 1000 |
| 36.07 | 266 |
| 42.95 | 278 |
| 43.75 | 567 |
| 62.89 | 146 |
| 63.06 | 148 |

***

Starting from a PBE+U-relaxed structure, the PXRD pattern of Li4MnCo2O7 was calculated for Cu Kα, 1.54184 Å.
Lines closer than 0.1° are merged.

Structure:
Unit cell a=2.9847 b=2.9847 c=34.4903 alpha=93.62 beta=93.62 gamma=57.58
Sites, in units of the cell vectors:
1 Li 0.0000 0.0000 0.0000
2 Li 0.0042 0.0042 0.5033
3 Li 0.1462 0.1462 0.7161
4 Li 0.3021 0.3021 0.4348
5 Li 0.4364 0.4364 0.1465
6 Li 0.5745 0.5745 0.8592
7 Li 0.7067 0.7067 0.5722
8 Li 0.8579 0.8579 0.2853
9 Mn 0.5781 0.5781 0.3581
10 Mn 0.7192 0.7192 0.0731
11 Co 0.1472 0.1472 0.2161
12 Co 0.2873 0.2873 0.9294
13 Co 0.4331 0.4331 0.6466
14 Co 0.8604 0.8604 0.7874
15 O 0.0670 0.0670 0.6175
16 O 0.0998 0.0998 0.1061
17 O 0.1899 0.1899 0.8201
18 O 0.2043 0.2043 0.3258
19 O 0.3359 0.3359 0.0394
20 O 0.3630 0.3630 0.5409
21 O 0.4968 0.4968 0.2496
22 O 0.5302 0.5302 0.7548
23 O 0.6468 0.6468 0.4658
24 O 0.6647 0.6647 0.9612
25 O 0.7976 0.7976 0.1829
26 O 0.8082 0.8082 0.6782
27 O 0.9106 0.9106 0.8981
28 O 0.9454 0.9454 0.3892

The 6 most intense peaks (2θ = 10–80°), sorted by position:
| 2θ/deg | Rel. int. |
| --- | --- |
| 18.05 | 1000 |
| 34.67 | 177 |
| 36.26 | 259 |
| 41.77 | 323 |
| 43.81 | 550 |
| 62.29 | 162 |

***

Starting from a PBE+U-relaxed structure, the PXRD pattern of Li3MnCoO5 was calculated for Cu Kα, 1.54184 Å.
Lines closer than 0.1° are merged.

Structure:
Unit cell a=6.5602 b=6.5602 c=9.9010 alpha=99.87 beta=99.87 gamma=25.97
Sites, in units of the cell vectors:
1 Li 0.0000 0.0000 0.0000
2 Li 0.0948 0.0948 0.2814
3 Li 0.3090 0.3090 0.9177
4 Li 0.5000 0.5000 0.5000
5 Li 0.6910 0.6910 0.0823
6 Li 0.9052 0.9052 0.7186
7 Mn 0.1988 0.1988 0.6027
8 Mn 0.8012 0.8012 0.3973
9 Co 0.4097 0.4097 0.1846
10 Co 0.5903 0.5903 0.8154
11 O 0.0638 0.0638 0.6490
12 O 0.1498 0.1498 0.9363
13 O 0.2564 0.2564 0.2750
14 O 0.3379 0.3379 0.5334
15 O 0.4549 0.4549 0.8419
16 O 0.5451 0.5451 0.1581
17 O 0.6621 0.6621 0.4666
18 O 0.7436 0.7436 0.7250
19 O 0.8502 0.8502 0.0637
20 O 0.9362 0.9362 0.3510

The 6 most intense peaks (2θ = 10–80°), sorted by position:
| 2θ/deg | Rel. int. |
| --- | --- |
| 18.08 | 1000 |
| 35.65 | 239 |
| 42.87 | 583 |
| 43.89 | 252 |
| 62.67 | 148 |
| 63.38 | 122 |

***

Starting from a PBE+U-relaxed structure, the PXRD pattern of Li4MnCo2O7 was calculated for Cu Kα, 1.54184 Å.
Lines closer than 0.1° are merged.

Structure:
Unit cell a=2.9919 b=5.1183 c=17.2105 alpha=85.26 beta=88.62 gamma=75.37
Sites, in units of the cell vectors:
1 Li 0.0000 0.0000 0.0000
2 Li 0.0204 0.9862 0.4962
3 Li 0.1470 0.7133 0.7829
4 Li 0.3077 0.4015 0.0693
5 Li 0.4469 0.1266 0.3540
6 Li 0.5917 0.8359 0.6383
7 Li 0.7623 0.5432 0.9351
8 Li 0.8704 0.2674 0.2114
9 Mn 0.4542 0.1266 0.8611
10 Mn 0.8859 0.2661 0.7106
11 Co 0.1594 0.6996 0.2819
12 Co 0.2968 0.4126 0.5677
13 Co 0.5849 0.8450 0.1359
14 Co 0.7295 0.5532 0.4250
15 O 0.0563 0.8834 0.8876
16 O 0.1026 0.8257 0.3862
17 O 0.2126 0.5401 0.6724
18 O 0.2550 0.5745 0.1805
19 O 0.3539 0.2893 0.4656
20 O 0.3732 0.2731 0.9550
21 O 0.5385 0.9605 0.2419
22 O 0.5518 0.9978 0.7512
23 O 0.6317 0.6767 0.5302
24 O 0.6598 0.7024 0.0469
25 O 0.7943 0.4253 0.3227
26 O 0.8463 0.3758 0.8198
27 O 0.9313 0.0993 0.1097
28 O 0.9676 0.1462 0.6054

The 6 most intense peaks (2θ = 10–80°), sorted by position:
| 2θ/deg | Rel. int. |
| --- | --- |
| 18.30 | 1000 |
| 34.69 | 188 |
| 36.12 | 130 |
| 41.65 | 331 |
| 43.83 | 281 |
| 44.73 | 252 |

***

Starting from a PBE+U-relaxed structure, the PXRD pattern of Li7Mn2Co3O12 was calculated for Cu Kα, 1.54184 Å.
Lines closer than 0.1° are merged.

Structure:
Unit cell a=5.0448 b=6.5020 c=6.6592 alpha=83.65 beta=81.61 gamma=83.55
Sites, in units of the cell vectors:
1 Li 0.0000 0.0000 0.0000
2 Li 0.0006 0.6710 0.3275
3 Li 0.0054 0.3258 0.6558
4 Li 0.5105 0.1637 0.8239
5 Li 0.5153 0.8359 0.1734
6 Li 0.5217 0.4891 0.4937
7 Li 0.7596 0.0782 0.4140
8 Mn 0.2566 0.5818 0.9132
9 Mn 0.2627 0.9155 0.5726
10 Co 0.2481 0.2459 0.2563
11 Co 0.7559 0.4039 0.0880
12 Co 0.7578 0.7510 0.7386
13 O 0.1338 0.6330 0.6409
14 O 0.1389 0.3068 0.9569
15 O 0.1486 0.9543 0.3086
16 O 0.3701 0.1904 0.5348
17 O 0.3799 0.8616 0.8520
18 O 0.3832 0.5419 0.1788
19 O 0.6080 0.7945 0.4656
20 O 0.6211 0.4825 0.7933
21 O 0.6252 0.1445 0.1158
22 O 0.8962 0.0089 0.7033
23 O 0.9000 0.3705 0.3591
24 O 0.9032 0.6873 0.0302

The 6 most intense peaks (2θ = 10–80°), sorted by position:
| 2θ/deg | Rel. int. |
| --- | --- |
| 18.37 | 1000 |
| 35.50 | 144 |
| 36.17 | 129 |
| 42.89 | 306 |
| 43.78 | 287 |
| 44.36 | 271 |

***

Starting from a PBE+U-relaxed structure, the PXRD pattern of Li7Mn2Co3O12 was calculated for Cu Kα, 1.54184 Å.
Lines closer than 0.1° are merged.

Structure:
Unit cell a=7.7567 b=7.7567 c=9.8484 alpha=99.79 beta=99.79 gamma=21.58
Sites, in units of the cell vectors:
1 Li 0.0000 0.0000 0.0000
2 Li 0.1733 0.1733 0.5150
3 Li 0.3268 0.3268 0.9949
4 Li 0.5006 0.5006 0.5104
5 Li 0.6669 0.6669 0.9982
6 Li 0.7487 0.7487 0.7577
7 Li 0.8295 0.8295 0.5128
8 Mn 0.0872 0.0872 0.7603
9 Mn 0.9149 0.9149 0.2535
10 Co 0.2410 0.2410 0.2541
11 Co 0.4048 0.4048 0.7495
12 Co 0.5862 0.5862 0.2602
13 O 0.0325 0.0325 0.3674
14 O 0.1274 0.1274 0.1385
15 O 0.1980 0.1980 0.8719
16 O 0.2999 0.2999 0.6349
17 O 0.3771 0.3771 0.3633
18 O 0.4517 0.4517 0.1430
19 O 0.5439 0.5439 0.8669
20 O 0.6177 0.6177 0.6448
21 O 0.7125 0.7125 0.3802
22 O 0.7960 0.7960 0.1452
23 O 0.8811 0.8811 0.8715
24 O 0.9615 0.9615 0.6503

The 6 most intense peaks (2θ = 10–80°), sorted by position:
| 2θ/deg | Rel. int. |
| --- | --- |
| 18.29 | 1000 |
| 36.16 | 256 |
| 43.48 | 274 |
| 43.67 | 573 |
| 63.04 | 149 |
| 63.61 | 143 |

***

Starting from a PBE+U-relaxed structure, the PXRD pattern of Li6Mn3CoO10 was calculated for Cu Kα, 1.54184 Å.
Lines closer than 0.1° are merged.

Structure:
Unit cell a=7.6059 b=7.6059 c=5.1918 alpha=97.39 beta=97.39 gamma=140.02
Sites, in units of the cell vectors:
1 Li 0.0000 0.0000 0.0000
2 Li 0.0981 0.9019 0.5000
3 Li 0.2997 0.7003 0.5000
4 Li 0.4974 0.5026 0.5000
5 Li 0.6977 0.3023 0.5000
6 Li 0.9028 0.0972 0.5000
7 Mn 0.3992 0.6008 0.0000
8 Mn 0.5990 0.4010 0.0000
9 Mn 0.8002 0.1998 0.0000
10 Co 0.1974 0.8026 0.0000
11 O 0.0762 0.4762 0.7685
12 O 0.1538 0.3646 0.2155
13 O 0.2797 0.2816 0.7649
14 O 0.3594 0.1477 0.2113
15 O 0.4702 0.0775 0.7659
16 O 0.5238 0.9238 0.2315
17 O 0.6354 0.8462 0.7845
18 O 0.7184 0.7203 0.2351
19 O 0.8523 0.6406 0.7887
20 O 0.9225 0.5298 0.2341

The 6 most intense peaks (2θ = 10–80°), sorted by position:
| 2θ/deg | Rel. int. |
| --- | --- |
| 18.44 | 1000 |
| 34.82 | 157 |
| 36.55 | 231 |
| 41.92 | 338 |
| 44.49 | 566 |
| 62.77 | 330 |

***

Starting from a PBE+U-relaxed structure, the PXRD pattern of Li4MnCo2O7 was calculated for Cu Kα, 1.54184 Å.
Lines closer than 0.1° are merged.

Structure:
Unit cell a=10.5602 b=10.5602 c=8.5068 alpha=101.56 beta=101.56 gamma=15.59
Sites, in units of the cell vectors:
1 Li 0.0000 0.0000 0.0000
2 Li 0.0024 0.0024 0.4966
3 Li 0.1383 0.1383 0.5625
4 Li 0.2863 0.2863 0.1419
5 Li 0.4313 0.4313 0.6952
6 Li 0.5677 0.5677 0.2889
7 Li 0.7129 0.7129 0.8497
8 Li 0.8578 0.8578 0.4246
9 Mn 0.5713 0.5713 0.7683
10 Mn 0.8575 0.8575 0.9272
11 Co 0.1427 0.1427 0.0639
12 Co 0.2852 0.2852 0.6360
13 Co 0.4329 0.4329 0.2426
14 Co 0.7127 0.7127 0.3507
15 O 0.0081 0.0081 0.7539
16 O 0.1366 0.1366 0.8107
17 O 0.1492 0.1492 0.3183
18 O 0.2770 0.2770 0.3823
19 O 0.2927 0.2927 0.8950
20 O 0.4201 0.4201 0.9446
21 O 0.4244 0.4244 0.4481
22 O 0.5720 0.5720 0.5539
23 O 0.5792 0.5792 0.0168
24 O 0.7062 0.7062 0.0959
25 O 0.7227 0.7227 0.6064
26 O 0.8492 0.8492 0.6839
27 O 0.8609 0.8609 0.1518
28 O 0.9971 0.9971 0.2374

The 6 most intense peaks (2θ = 10–80°), sorted by position:
| 2θ/deg | Rel. int. |
| --- | --- |
| 18.40 | 1000 |
| 35.15 | 151 |
| 36.48 | 237 |
| 42.51 | 284 |
| 44.24 | 534 |
| 63.05 | 144 |